[1]
# Y2ZnC
Computed powder diffractogram, copper Kα. Input: a PBE-relaxed structure.
Intensities are scaled so that the largest is 100.

Crystal structure
```
data_Y2ZnC
_symmetry_space_group_name_H-M 'C 1 2/c 1'
_symmetry_Int_Tables_number 15
_cell_length_a 10.8402
_cell_length_b 6.2576
_cell_length_c 15.5644
_cell_angle_alpha 90.00
_cell_angle_beta 101.60
_cell_angle_gamma 90.00
loop_
_symmetry_equiv_pos_as_xyz
'x,y,z'
'-x,-y,-z'
'-x,y,-z+1/2'
'x,-y,z+1/2'
'x+1/2,y+1/2,z'
'-x+1/2,-y+1/2,-z'
'-x+1/2,y+1/2,-z+1/2'
'x+1/2,-y+1/2,z+1/2'
loop_
_atom_site_label
_atom_site_type_symbol
_atom_site_fract_x
_atom_site_fract_y
_atom_site_fract_z
_atom_site_occupancy
Y1 Y 0.0568 0.0784 0.4079 1
Y2 Y 0.1084 0.4119 0.5868 1
Y3 Y 0.2241 0.4137 0.9131 1
Zn1 Zn 0.0000 0.2873 0.7500 1
Zn2 Zn 0.2089 0.1101 0.7523 1
C1 C 0.0819 0.2468 0.0048 1
C2 C 0.2500 0.2500 0.5000 1
```

Principal peaks in the range 2θ = 10–80°, in order of falling intensity:
2θ/deg  I/Imax  (hkl)
33.2  100.0  3 1 2
33.6  95.1  0 2 3
34.1  87.4  3 1 -4
35.3  65.7  0 0 6
50.5  61.5  3 3 -1
28.5  32.8  3 1 -1
62.6  27.0  3 3 5
61.5  22.5  3 1 8
62.1  22.4  6 0 4
63.7  19.9  3 3 -7

***

[2]
# Y4ZnC3
Computed powder diffractogram, copper Kα. Input: a PBE-relaxed structure.
Intensities are scaled so that the largest is 100.

Crystal structure
```
data_Y4ZnC3
_symmetry_space_group_name_H-M 'P 63/m m c'
_symmetry_Int_Tables_number 194
_symmetry_space_group_name_Hall '-P 6c 2c'
_cell_length_a 3.6130
_cell_length_b 3.6130
_cell_length_c 26.8817
_cell_angle_alpha 90.00
_cell_angle_beta 90.00
_cell_angle_gamma 120.00
loop_
_atom_site_label
_atom_site_type_symbol
_atom_site_fract_x
_atom_site_fract_y
_atom_site_fract_z
_atom_site_occupancy
Y1 Y 0.0000 0.0000 0.1584 1
Y2 Y 0.3333 0.6667 0.0542 1
Zn1 Zn 0.3333 0.6667 0.2500 1
C1 C 0.0000 0.0000 0.0000 1
C2 C 0.3333 0.6667 0.6159 1
```

Principal peaks in the range 2θ = 10–80°, in order of falling intensity:
2θ/deg  I/Imax  (hkl)
35.0  100.0  1 0 6
33.1  85.8  1 0 5
50.5  52.1  1 1 0
31.5  45.1  1 0 4
33.3  39.7  0 0 10
61.9  38.8  1 1 10
28.7  25.0  1 0 1
29.3  22.6  1 0 2
62.8  18.2  1 0 16
47.2  16.8  1 0 11

***

[3]
# Y2Zr4Zn3C3
Computed powder diffractogram, copper Kα. Input: a PBE-relaxed structure.
Intensities are scaled so that the largest is 100.

Crystal structure
```
data_Y2Zr4Zn3C3
_symmetry_space_group_name_H-M 'C 1 2/c 1'
_symmetry_Int_Tables_number 15
_cell_length_a 10.1210
_cell_length_b 5.8559
_cell_length_c 14.9182
_cell_angle_alpha 90.00
_cell_angle_beta 103.52
_cell_angle_gamma 90.00
loop_
_symmetry_equiv_pos_as_xyz
'x,y,z'
'-x,-y,-z'
'-x,y,-z+1/2'
'x,-y,z+1/2'
'x+1/2,y+1/2,z'
'-x+1/2,-y+1/2,-z'
'-x+1/2,y+1/2,-z+1/2'
'x+1/2,-y+1/2,z+1/2'
loop_
_atom_site_label
_atom_site_type_symbol
_atom_site_fract_x
_atom_site_fract_y
_atom_site_fract_z
_atom_site_occupancy
Y1 Y 0.0434 0.0820 0.3893 1
Zr1 Zr 0.1112 0.4092 0.5830 1
Zr2 Zr 0.2256 0.4195 0.9170 1
Zn1 Zn 0.0000 0.4251 0.7500 1
Zn2 Zn 0.2432 0.1576 0.7500 1
C1 C 0.0865 0.2595 0.0000 1
C2 C 0.2500 0.2500 0.5000 1
```

Principal peaks in the range 2θ = 10–80°, in order of falling intensity:
2θ/deg  I/Imax  (hkl)
35.8  100.0  0 2 3
36.0  47.5  3 1 2
37.2  33.1  0 0 6
31.2  26.8  0 2 1
30.6  20.8  3 1 -1
54.3  16.2  3 3 -1
39.5  13.2  3 1 -5
63.9  11.7  6 2 -3
37.0  10.2  2 2 1
54.4  9.2  6 0 -2

***

What did the first record say?
# Y2ZnC
Computed powder diffractogram, copper Kα. Input: a PBE-relaxed structure.
Intensities are scaled so that the largest is 100.

Crystal structure
```
data_Y2ZnC
_symmetry_space_group_name_H-M 'C 1 2/c 1'
_symmetry_Int_Tables_number 15
_cell_length_a 10.8402
_cell_length_b 6.2576
_cell_length_c 15.5644
_cell_angle_alpha 90.00
_cell_angle_beta 101.60
_cell_angle_gamma 90.00
loop_
_symmetry_equiv_pos_as_xyz
'x,y,z'
'-x,-y,-z'
'-x,y,-z+1/2'
'x,-y,z+1/2'
'x+1/2,y+1/2,z'
'-x+1/2,-y+1/2,-z'
'-x+1/2,y+1/2,-z+1/2'
'x+1/2,-y+1/2,z+1/2'
loop_
_atom_site_label
_atom_site_type_symbol
_atom_site_fract_x
_atom_site_fract_y
_atom_site_fract_z
_atom_site_occupancy
Y1 Y 0.0568 0.0784 0.4079 1
Y2 Y 0.1084 0.4119 0.5868 1
Y3 Y 0.2241 0.4137 0.9131 1
Zn1 Zn 0.0000 0.2873 0.7500 1
Zn2 Zn 0.2089 0.1101 0.7523 1
C1 C 0.0819 0.2468 0.0048 1
C2 C 0.2500 0.2500 0.5000 1
```

Principal peaks in the range 2θ = 10–80°, in order of falling intensity:
2θ/deg  I/Imax  (hkl)
33.2  100.0  3 1 2
33.6  95.1  0 2 3
34.1  87.4  3 1 -4
35.3  65.7  0 0 6
50.5  61.5  3 3 -1
28.5  32.8  3 1 -1
62.6  27.0  3 3 5
61.5  22.5  3 1 8
62.1  22.4  6 0 4
63.7  19.9  3 3 -7